# 1
The following is a simulated X-ray diffraction stick pattern of LaAgHg2. It was derived from a GGA-PBE-relaxed structure, using Cu Kα, 1.54184 Å.
Peak positions follow from Bragg's law for the DFT cell and can differ from measured ones.

Cell lengths 5.210, 5.210, 5.210 Å; angles 60.00, 60.00, 60.00 degrees
Element x y z (fractional)
1 La 0.000 0.000 0.000
2 Ag 0.500 0.500 0.500
3 Hg 0.250 0.250 0.250
4 Hg 0.750 0.750 0.750

Most intense lines, 2θ = 5–70°, by intensity:
| 2θ (°) | intensity |
| --- | --- |
| 34.4 | 100 |
| 61.7 | 37 |
| 49.5 | 18 |
| 24.2 | 6 |
| 55.8 | 3 |
| 42.5 | 2 |

=====

# 2
The following is a simulated X-ray diffraction stick pattern of Lu2AgHg. It was derived from a GGA-PBE-relaxed structure, using Cu Kα, 1.54184 Å.
Peak positions follow from Bragg's law for the DFT cell and can differ from measured ones.

Cell lengths 5.106, 5.106, 5.106 Å; angles 60.00, 60.00, 60.00 degrees
Element x y z (fractional)
1 Lu 0.250 0.250 0.250
2 Lu 0.750 0.750 0.750
3 Ag 0.000 0.000 0.000
4 Hg 0.500 0.500 0.500

Most intense lines, 2θ = 5–70°, by intensity:
| 2θ (°) | intensity |
| --- | --- |
| 35.1 | 100 |
| 63.1 | 37 |
| 50.6 | 18 |
| 21.3 | 4 |
| 41.5 | 2 |
| 55.5 | 1 |
| 67.4 | 1 |

=====

# 3
The following is a simulated X-ray diffraction stick pattern of LuAgHg2. It was derived from a GGA-PBE-relaxed structure, using Cu Kα, 1.54184 Å.
Peak positions follow from Bragg's law for the DFT cell and can differ from measured ones.

Cell lengths 4.965, 4.965, 4.965 Å; angles 60.00, 60.00, 60.00 degrees
Element x y z (fractional)
1 Lu 0.000 0.000 0.000
2 Ag 0.500 0.500 0.500
3 Hg 0.250 0.250 0.250
4 Hg 0.750 0.750 0.750

Most intense lines, 2θ = 5–70°, by intensity:
| 2θ (°) | intensity |
| --- | --- |
| 36.2 | 100 |
| 65.1 | 36 |
| 52.1 | 18 |
| 25.4 | 3 |
| 21.9 | 2 |
| 58.8 | 2 |
| 44.7 | 1 |
| 42.7 | 1 |

=====

# 4
The following is a simulated X-ray diffraction stick pattern of Nd2AgHg. It was derived from a GGA-PBE-relaxed structure, using Cu Kα, 1.54184 Å.
Peak positions follow from Bragg's law for the DFT cell and can differ from measured ones.

Cell lengths 5.378, 5.378, 5.378 Å; angles 60.00, 60.00, 60.00 degrees
Element x y z (fractional)
1 Nd 0.250 0.250 0.250
2 Nd 0.750 0.750 0.750
3 Ag 0.000 0.000 0.000
4 Hg 0.500 0.500 0.500

Most intense lines, 2θ = 5–70°, by intensity:
| 2θ (°) | intensity |
| --- | --- |
| 33.3 | 100 |
| 59.5 | 38 |
| 47.8 | 18 |
| 70.0 | 12 |
| 20.2 | 4 |
| 39.3 | 3 |
| 52.4 | 1 |
| 63.6 | 1 |

=====

# 5
The following is a simulated X-ray diffraction stick pattern of NdAgHg2. It was derived from a GGA-PBE-relaxed structure, using Cu Kα, 1.54184 Å.
Peak positions follow from Bragg's law for the DFT cell and can differ from measured ones.

Cell lengths 5.133, 5.133, 5.133 Å; angles 60.00, 60.00, 60.00 degrees
Element x y z (fractional)
1 Nd 0.000 0.000 0.000
2 Ag 0.500 0.500 0.500
3 Hg 0.250 0.250 0.250
4 Hg 0.750 0.750 0.750

Most intense lines, 2θ = 5–70°, by intensity:
| 2θ (°) | intensity |
| --- | --- |
| 35.0 | 100 |
| 62.7 | 37 |
| 50.3 | 18 |
| 24.5 | 6 |
| 56.7 | 3 |
| 43.2 | 2 |
| 21.2 | 1 |

=====

# 6
The following is a simulated X-ray diffraction stick pattern of AgHgO2. It was derived from a GGA-PBE-relaxed structure, using Cu Kα, 1.54184 Å.
Peak positions follow from Bragg's law for the DFT cell and can differ from measured ones.

Cell lengths 4.068, 5.459, 5.944 Å; angles 92.11, 95.11, 90.53 degrees
Element x y z (fractional)
1 Ag 0.000 0.000 0.000
2 Ag 0.000 0.500 0.500
3 Hg 0.500 0.000 0.500
4 Hg 0.500 0.500 0.000
5 O 0.161 0.288 0.793
6 O 0.202 0.216 0.291
7 O 0.798 0.784 0.709
8 O 0.839 0.712 0.207

Most intense lines, 2θ = 5–70°, by intensity:
| 2θ (°) | intensity |
| --- | --- |
| 30.2 | 100 |
| 32.8 | 79 |
| 30.6 | 56 |
| 31.9 | 44 |
| 57.4 | 28 |
| 44.3 | 22 |
| 46.1 | 20 |
| 57.0 | 19 |
| 44.7 | 16 |
| 62.9 | 14 |
| 52.0 | 13 |
| 53.0 | 12 |

=====

# 7
The following is a simulated X-ray diffraction stick pattern of AgHgO2. It was derived from a GGA-PBE-relaxed structure, using Cu Kα, 1.54184 Å.
Peak positions follow from Bragg's law for the DFT cell and can differ from measured ones.

Cell lengths 5.687, 3.905, 6.134 Å; angles 90.00, 107.88, 90.00 degrees
Element x y z (fractional)
1 Ag 0.000 0.000 0.000
2 Ag 0.000 0.500 0.500
3 Hg 0.500 0.000 0.500
4 Hg 0.500 0.500 0.000
5 O 0.217 0.204 0.795
6 O 0.217 0.296 0.295
7 O 0.783 0.704 0.705
8 O 0.783 0.796 0.205

Most intense lines, 2θ = 5–70°, by intensity:
| 2θ (°) | intensity |
| --- | --- |
| 29.6 | 100 |
| 34.6 | 75 |
| 30.6 | 40 |
| 33.1 | 32 |
| 37.8 | 31 |
| 50.4 | 25 |
| 53.8 | 20 |
| 56.7 | 19 |
| 58.3 | 18 |
| 60.1 | 14 |
| 46.5 | 13 |
| 16.4 | 13 |

=====

# 8
The following is a simulated X-ray diffraction stick pattern of Ag2HgO2. It was derived from a GGA-PBE-relaxed structure, using Cu Kα, 1.54184 Å.
Peak positions follow from Bragg's law for the DFT cell and can differ from measured ones.

Cell lengths 6.389, 6.389, 8.477 Å; angles 90.00, 90.00, 90.00 degrees
Element x y z (fractional)
1 Ag 0.001 0.245 0.122
2 Ag 0.245 0.001 0.878
3 Ag 0.255 0.501 0.872
4 Ag 0.499 0.745 0.628
5 Ag 0.501 0.255 0.128
6 Ag 0.745 0.499 0.372
7 Ag 0.755 0.999 0.378
8 Ag 0.999 0.755 0.622
9 Hg 0.218 0.218 0.500
10 Hg 0.282 0.718 0.250
11 Hg 0.718 0.282 0.750
12 Hg 0.782 0.782 0.000
13 O 0.127 0.252 0.735
14 O 0.248 0.627 0.485
15 O 0.252 0.127 0.265
16 O 0.373 0.752 0.015
17 O 0.627 0.248 0.515
18 O 0.748 0.873 0.765
19 O 0.752 0.373 0.985
20 O 0.873 0.748 0.235

Most intense lines, 2θ = 5–70°, by intensity:
| 2θ (°) | intensity |
| --- | --- |
| 33.1 | 100 |
| 34.7 | 50 |
| 35.2 | 41 |
| 28.9 | 37 |
| 27.9 | 29 |
| 52.8 | 25 |
| 59.8 | 25 |
| 53.9 | 17 |
| 50.0 | 15 |
| 56.1 | 14 |
| 51.8 | 12 |
| 57.7 | 12 |

=====

# 9
The following is a simulated X-ray diffraction stick pattern of AgHg2PO4. It was derived from a GGA-PBE-relaxed structure, using Cu Kα, 1.54184 Å.
Peak positions follow from Bragg's law for the DFT cell and can differ from measured ones.

Cell lengths 8.849, 9.494, 6.272 Å; angles 90.00, 90.00, 90.00 degrees
Element x y z (fractional)
1 Ag 0.029 0.149 0.000
2 Ag 0.471 0.649 0.000
3 Ag 0.529 0.351 0.000
4 Ag 0.971 0.851 0.000
5 Hg 0.247 0.968 0.214
6 Hg 0.247 0.968 0.786
7 Hg 0.253 0.468 0.214
8 Hg 0.253 0.468 0.786
9 Hg 0.747 0.532 0.214
10 Hg 0.747 0.532 0.786
11 Hg 0.753 0.032 0.214
12 Hg 0.753 0.032 0.786
13 P 0.044 0.714 0.500
14 P 0.456 0.214 0.500
15 P 0.544 0.786 0.500
16 P 0.956 0.286 0.500
17 O 0.049 0.303 0.291
18 O 0.049 0.303 0.709
19 O 0.116 0.864 0.500
20 O 0.171 0.598 0.500
21 O 0.329 0.098 0.500
22 O 0.384 0.364 0.500
23 O 0.451 0.803 0.291
24 O 0.451 0.803 0.709
25 O 0.549 0.197 0.291
26 O 0.549 0.197 0.709
27 O 0.616 0.636 0.500
28 O 0.671 0.902 0.500
29 O 0.829 0.402 0.500
30 O 0.884 0.136 0.500
31 O 0.951 0.697 0.291
32 O 0.951 0.697 0.709

Most intense lines, 2θ = 5–70°, by intensity:
| 2θ (°) | intensity |
| --- | --- |
| 27.6 | 100 |
| 35.1 | 56 |
| 18.7 | 47 |
| 34.3 | 38 |
| 40.0 | 32 |
| 20.1 | 30 |
| 48.1 | 28 |
| 35.8 | 24 |
| 40.8 | 21 |
| 54.3 | 20 |
| 49.2 | 20 |
| 43.2 | 19 |

=====

# 10
The following is a simulated X-ray diffraction stick pattern of Ag5HgSbO6. It was derived from a GGA-PBE-relaxed structure, using Cu Kα, 1.54184 Å.
Peak positions follow from Bragg's law for the DFT cell and can differ from measured ones.

Cell lengths 6.043, 6.043, 12.557 Å; angles 90.00, 90.00, 120.00 degrees
Element x y z (fractional)
1 Ag 0.000 0.000 0.122
2 Ag 0.000 0.000 0.378
3 Ag 0.000 0.000 0.622
4 Ag 0.000 0.000 0.878
5 Ag 0.000 0.500 0.000
6 Ag 0.000 0.500 0.500
7 Ag 0.500 0.000 0.000
8 Ag 0.500 0.000 0.500
9 Ag 0.500 0.500 0.000
10 Ag 0.500 0.500 0.500
11 Hg 0.333 0.667 0.250
12 Hg 0.667 0.333 0.750
13 Sb 0.333 0.667 0.750
14 Sb 0.667 0.333 0.250
15 O 0.046 0.395 0.842
16 O 0.046 0.651 0.658
17 O 0.349 0.395 0.658
18 O 0.349 0.954 0.842
19 O 0.395 0.046 0.342
20 O 0.395 0.349 0.158
21 O 0.605 0.651 0.842
22 O 0.605 0.954 0.658
23 O 0.651 0.046 0.158
24 O 0.651 0.605 0.342
25 O 0.954 0.349 0.342
26 O 0.954 0.605 0.158

Most intense lines, 2θ = 5–70°, by intensity:
| 2θ (°) | intensity |
| --- | --- |
| 33.3 | 100 |
| 37.2 | 76 |
| 32.9 | 74 |
| 54.9 | 49 |
| 29.6 | 43 |
| 34.3 | 36 |
| 53.2 | 27 |
| 61.4 | 25 |
| 56.3 | 22 |
| 54.6 | 20 |
| 28.4 | 14 |
| 52.5 | 14 |